VNi5H5: computed powder XRD pattern (Cu Kα, 1.54184 Å), based on a DFT-relaxed cell (PBE, Alexandria).

Structure:
a b c (Å): 4.561 4.561 5.274
angles (deg): 106.34 106.34 48.24
Positions (direct):
V 0.000 0.000 0.000
Ni 0.000 0.000 0.500
Ni 0.330 0.330 0.160
Ni 0.338 0.338 0.670
Ni 0.662 0.662 0.330
Ni 0.670 0.670 0.840
H 0.166 0.166 0.352
H 0.167 0.167 0.806
H 0.500 0.500 0.000
H 0.833 0.833 0.194
H 0.834 0.834 0.648

Principal peaks in the range 10 to 90 degrees two-theta, by angle:
2theta	I_rel
41.95	1000
48.58	168
48.87	166
49.04	164
71.41	142
71.56	47
71.74	94
86.17	108
86.60	108
86.87	107



VNi2H2: computed powder XRD pattern (Cu Kα, 1.54184 Å), based on a DFT-relaxed cell (PBE, Alexandria).

Structure:
a b c (Å): 2.650 2.650 6.428
angles (deg): 90.00 90.00 120.00
Positions (direct):
V 0.000 0.000 0.000
Ni 0.333 0.667 0.658
Ni 0.667 0.333 0.342
H 0.333 0.667 0.184
H 0.667 0.333 0.816

Principal peaks in the range 10 to 90 degrees two-theta, by angle:
2theta	I_rel
13.78	53
41.79	1000
42.17	318
48.75	662
58.97	12
71.15	188
71.69	178
86.06	107
86.32	208
86.84	106